No. 1
Diffraction record for Li5B6C6. The powder diffractogram is simulated, not measured: it uses a crystal structure in Alexandria, relaxed with PBE and Cu Kα.
Peak positions follow from Bragg's law for the DFT cell and can differ from measured ones.

Principal peaks in the range 2θ = 10–90°, by angle:
2theta	I_rel
12.39	3.6
24.92	100.0
38.05	7.6
40.17	3.0
46.03	61.0
51.13	18.9
68.76	20.0
74.39	9.3
80.68	1.3
86.76	7.8

Structural model:
```
Li5B6C6
1.0
2.365 1.365 7.145
-2.365 1.365 7.145
0.000 -2.730 7.145
Li B C
5 6 6
direct
0.000 0.000 0.000
0.167 0.167 0.167
0.333 0.333 0.333
0.667 0.667 0.667
0.833 0.833 0.833
0.084 0.416 0.748
0.252 0.916 0.584
0.416 0.748 0.084
0.584 0.252 0.916
0.748 0.084 0.416
0.916 0.584 0.252
0.080 0.750 0.416
0.250 0.584 0.920
0.416 0.080 0.750
0.584 0.920 0.250
0.750 0.416 0.080
0.920 0.250 0.584
```



No. 2
Diffraction record for Li5B8C8. The powder diffractogram is simulated, not measured: it uses a crystal structure in Alexandria, relaxed with PBE and Cu Kα.
Peak positions follow from Bragg's law for the DFT cell and can differ from measured ones.

Principal peaks in the range 2θ = 10–90°, by angle:
2theta	I_rel
24.54	100.0
38.29	9.5
45.99	34.7
46.08	8.0
50.30	15.0
69.13	4.8
69.27	9.6
74.57	3.3
74.70	4.7
87.09	2.7

Structural model:
```
Li5B8C8
1.0
4.696 0.000 0.000
0.000 5.436 0.000
-0.011 -2.709 7.256
Li B C
5 8 8
direct
0.000 0.000 0.000
0.000 0.271 0.497
0.501 0.258 0.998
0.501 0.743 0.999
0.502 0.977 0.500
0.168 0.871 0.245
0.170 0.376 0.244
0.331 0.875 0.751
0.332 0.376 0.748
0.668 0.126 0.248
0.673 0.623 0.248
0.832 0.627 0.753
0.834 0.127 0.753
0.168 0.627 0.754
0.172 0.125 0.749
0.329 0.121 0.243
0.336 0.623 0.243
0.669 0.374 0.748
0.669 0.882 0.761
0.831 0.876 0.249
0.834 0.371 0.243
```